The following is a theoretical PXRD pattern of K5AgN2O2. It was derived from a DFT-relaxed cell (GGA-PBE, Alexandria), using Cu Ka.
Neutral-atom scattering factors, no anomalous dispersion.

Most intense lines, 10° ≤ 2θ ≤ 90°, in order of rising 2θ:
two_theta, Rel. int., h k l
14.3, 78.9, 0 1 1
16.8, 71.2, 1 0 0
21.0, 32.5, 1 2 0
22.1, 48.5, 1 1 -1
28.9, 53.6, 0 2 2
30.4, 100.0, 1 4 0
31.0, 38.1, 1 0 -2
33.6, 60.5, 1 2 2
33.9, 59.8, 2 0 0
36.5, 46.0, 0 4 2

Structural model:
abc: 5.2904 14.1243 6.8694
angles: 90.00 90.01 90.00
Space group P2_1 (No. 4)
One atom of each set of equivalent atoms:
K 0.0012 0.0000 0.4530
K 0.0029 0.7437 0.0461
K 0.4223 0.3717 0.2504
K 0.4562 0.0915 0.0950
K 0.4586 0.6515 0.4042
Ag 0.4979 0.8716 0.2497
N 0.0604 0.2054 0.3855
N 0.0641 0.5388 0.1154
O 0.4983 0.9867 0.4289
O 0.5000 0.2566 0.9296

The following is a theoretical PXRD pattern of Li5NbRh6. It was derived from a DFT-relaxed cell (GGA-PBE, Alexandria), using Cu Ka.
Neutral-atom scattering factors, no anomalous dispersion.

Most intense lines, 10° ≤ 2θ ≤ 90°, in order of rising 2θ:
two_theta, Rel. int., h k l
29.9, 41.8, 0 2 0
30.0, 41.4, 1 0 1
30.2, 40.8, 1 0 -2
42.9, 100.0, 2 0 -1
43.0, 65.9, 1 2 -2
43.3, 32.1, 0 0 3
53.1, 16.2, 2 2 -1
53.5, 15.6, 0 2 3
70.5, 16.8, 3 0 0
78.4, 21.6, 3 2 0

Structural model:
abc: 4.2239 5.9810 6.6000
angles: 90.00 108.39 90.00
Space group P2/m (No. 10)
One atom of each set of equivalent atoms:
Li 0.0000 0.0000 0.0000
Li 0.3355 0.5000 0.6663
Li 0.3369 0.0000 0.6687
Nb 0.0000 0.5000 0.0000
Rh 0.1678 0.2477 0.3397
Rh 0.5000 0.2419 0.0000

The following is a theoretical PXRD pattern of Li6TbZn6. It was derived from a DFT-relaxed cell (GGA-PBE, Alexandria), using Cu Ka.
Neutral-atom scattering factors, no anomalous dispersion.

Most intense lines, 10° ≤ 2θ ≤ 90°, in order of rising 2θ:
two_theta, Rel. int., h k l
13.7, 98.1, 0 1 1
19.3, 39.4, 0 0 2
27.5, 53.3, 0 2 2
27.8, 100.0, 1 1 2
34.0, 23.3, 1 0 3
39.2, 32.5, 0 0 4
39.5, 71.4, 0 4 0
39.6, 38.6, 1 3 2
40.2, 95.6, 2 2 0
57.4, 36.2, 2 2 4

Structural model:
abc: 5.1413 9.1300 9.1984
angles: 90.00 90.00 90.00
Space group Immm (No. 71)
One atom of each set of equivalent atoms:
Li 0.0000 0.0000 0.1541
Li 0.0000 0.2918 0.0000
Li 0.0000 0.3564 0.5000
Tb 0.0000 0.0000 0.5000
Zn 0.0000 0.5000 0.2106
Zn 0.2500 0.2500 0.2500

The following is a theoretical PXRD pattern of ThAs2PdRh5. It was derived from a DFT-relaxed cell (GGA-PBE, Alexandria), using Cu Ka.
Neutral-atom scattering factors, no anomalous dispersion.

Most intense lines, 10° ≤ 2θ ≤ 90°, in order of rising 2θ:
two_theta, Rel. int., h k l
29.2, 15.1, 1 0 2
36.5, 100.0, 1 1 2
40.0, 12.9, 0 0 4
43.1, 19.2, 1 1 3
43.6, 44.7, 2 0 0
45.8, 10.8, 1 0 4
60.7, 15.1, 2 0 4
63.4, 14.5, 2 2 0
70.4, 14.9, 1 1 6
75.4, 23.7, 3 1 2

Structural model:
abc: 4.1511 4.1511 9.0156
angles: 90.00 90.00 90.00
Space group P4/mmm (No. 123)
One atom of each set of equivalent atoms:
Th 0.0000 0.0000 0.0000
As 0.5000 0.5000 0.3661
Pd 0.0000 0.0000 0.5000
Rh 0.0000 0.5000 0.2355
Rh 0.5000 0.5000 0.0000

The following is a theoretical PXRD pattern of SmTh3C3. It was derived from a DFT-relaxed cell (GGA-PBE, Alexandria), using Cu Ka.
Neutral-atom scattering factors, no anomalous dispersion.

Most intense lines, 10° ≤ 2θ ≤ 90°, in order of rising 2θ:
two_theta, Rel. int., h k l
16.8, 1.5, 1 0 0
23.9, 2.9, 1 1 0
29.4, 100.0, 1 1 1
34.1, 60.3, 2 0 0
48.9, 43.9, 2 2 0
58.1, 46.8, 3 1 1
61.0, 15.2, 2 2 2
71.7, 7.1, 4 0 0
79.3, 19.5, 3 3 1
81.8, 20.2, 4 2 0

Structural model:
abc: 5.2651 5.2651 5.2651
angles: 90.00 90.00 90.00
Space group Pm-3m (No. 221)
One atom of each set of equivalent atoms:
Sm 0.0000 0.0000 0.0000
Th 0.0000 0.5000 0.5000
C 0.0000 0.0000 0.5000

The following is a theoretical PXRD pattern of Er3Al2Zn7. It was derived from a DFT-relaxed cell (GGA-PBE, Alexandria), using Cu Ka.
Neutral-atom scattering factors, no anomalous dispersion.

Most intense lines, 10° ≤ 2θ ≤ 90°, in order of rising 2θ:
two_theta, Rel. int., h k l
21.7, 20.0, 1 0 1
30.6, 24.1, 1 1 0
31.3, 34.8, 1 0 7
36.4, 100.0, 1 1 6
39.1, 15.4, 0 0 12
40.4, 16.0, 1 1 8
42.1, 15.9, 1 0 11
43.8, 43.4, 2 0 0
60.1, 17.1, 2 0 12
75.6, 20.7, 3 1 6

Structural model:
abc: 4.1351 4.1351 27.6632
angles: 90.00 90.00 90.00
Space group I4/mmm (No. 139)
One atom of each set of equivalent atoms:
Er 0.0000 0.0000 0.0000
Er 0.0000 0.0000 0.1651
Al 0.0000 0.0000 0.3657
Zn 0.0000 0.0000 0.2739
Zn 0.0000 0.0000 0.5000
Zn 0.0000 0.5000 0.0776

The following is a theoretical PXRD pattern of AcPr4Er6. It was derived from a DFT-relaxed cell (GGA-PBE, Alexandria), using Cu Ka.
Neutral-atom scattering factors, no anomalous dispersion.

Most intense lines, 10° ≤ 2θ ≤ 90°, in order of rising 2θ:
two_theta, Rel. int., h k l
28.0, 41.6, 1 1 4
28.4, 75.3, 2 0 2
29.3, 38.6, 1 0 5
30.0, 100.0, 2 1 1
33.8, 84.1, 2 0 4
36.8, 32.4, 1 1 6
37.6, 35.6, 2 2 0
39.8, 26.2, 2 1 5
56.3, 29.5, 4 1 1
57.4, 25.2, 1 1 10

Structural model:
abc: 6.7648 6.7648 17.0589
angles: 90.00 90.00 90.00
Space group I-42m (No. 121)
One atom of each set of equivalent atoms:
Ac 0.0000 0.0000 0.0000
Pr 0.1930 0.1930 0.8222
Er 0.0000 0.5000 0.0000
Er 0.1778 0.1778 0.6219

The following is a theoretical PXRD pattern of Rb3OsO6. It was derived from a DFT-relaxed cell (GGA-PBE, Alexandria), using Cu Ka.
Neutral-atom scattering factors, no anomalous dispersion.

Most intense lines, 10° ≤ 2θ ≤ 90°, in order of rising 2θ:
two_theta, Rel. int., h k l
16.8, 27.0, 2 0 -1
19.2, 23.6, 1 1 -1
27.0, 100.0, 1 1 1
27.7, 95.6, 3 1 -1
39.1, 51.7, 2 2 -2
47.2, 22.2, 2 0 2
48.6, 39.2, 5 1 -3
49.0, 19.1, 3 3 -1
63.3, 20.2, 1 3 -3
64.4, 20.0, 5 3 -3

Structural model:
abc: 11.1366 6.4436 6.6091
angles: 90.00 124.12 90.00
Space group C2/m (No. 12)
One atom of each set of equivalent atoms:
Rb 0.0000 0.0000 0.0000
Rb 0.2438 0.0000 0.7345
Os 0.0000 0.5000 0.5000
O 0.0424 0.2954 0.3491
O 0.1938 0.5000 0.7672

The following is a theoretical PXRD pattern of Er3CuS6. It was derived from a DFT-relaxed cell (GGA-PBE, Alexandria), using Cu Ka.
Neutral-atom scattering factors, no anomalous dispersion.

Most intense lines, 10° ≤ 2θ ≤ 90°, in order of rising 2θ:
two_theta, Rel. int., h k l
17.4, 27.6, 1 1 1
25.8, 100.0, 2 2 1
26.1, 21.0, 3 1 0
26.7, 58.1, 1 3 1
29.4, 21.2, 1 1 2
35.9, 24.0, 3 3 1
38.0, 45.1, 3 1 2
39.9, 24.6, 0 4 2
44.3, 33.3, 3 5 0
50.1, 21.9, 5 3 1

Structural model:
abc: 10.6563 12.4873 6.5544
angles: 90.00 90.00 90.00
Space group Cmc2_1 (No. 36)
One atom of each set of equivalent atoms:
Er 0.0000 0.1037 0.0000
Er 0.1824 0.4007 0.9110
Cu 0.0000 0.2966 0.3678
S 0.0000 0.2851 0.7158
S 0.0000 0.4619 0.2111
S 0.1607 0.0318 0.7043
S 0.1695 0.2371 0.1954

The following is a theoretical PXRD pattern of Cs2Ta6PbCl18. It was derived from a DFT-relaxed cell (GGA-PBE, Alexandria), using Cu Ka.
Neutral-atom scattering factors, no anomalous dispersion.

Most intense lines, 10° ≤ 2θ ≤ 90°, in order of rising 2θ:
two_theta, Rel. int., h k l
11.0, 89.2, 1 0 1
12.4, 100.0, 0 1 2
17.0, 42.8, 1 0 4
20.8, 23.4, 2 -1 3
25.7, 25.6, 1 0 7
32.7, 42.1, 1 2 5
33.4, 23.1, 3 0 3
36.8, 24.5, 3 -1 7
39.1, 51.0, 1 2 8
49.5, 23.4, 4 1 0

Structural model:
abc: 9.7498 9.7498 26.6090
angles: 90.00 90.00 120.00
Space group R-3 (No. 148, hexagonal axes)
One atom of each set of equivalent atoms:
Cs 0.0000 0.0000 0.2252
Ta 0.0379 0.8500 0.0444
Pb 0.0000 0.0000 0.5000
Cl 0.0124 0.7583 0.4359
Cl 0.0447 0.8207 0.8938
Cl 0.0638 0.7987 0.6662

The following is a theoretical PXRD pattern of Pm2NdDy6Y. It was derived from a DFT-relaxed cell (GGA-PBE, Alexandria), using Cu Ka.
Neutral-atom scattering factors, no anomalous dispersion.

Most intense lines, 10° ≤ 2θ ≤ 90°, in order of rising 2θ:
two_theta, Rel. int., h k l
28.5, 58.4, 1 3 2
30.3, 58.9, 0 2 3
30.6, 93.4, 3 1 -1
31.2, 68.9, 1 5 0
31.5, 49.8, 2 4 -1
31.6, 100.0, 2 2 2
32.1, 30.3, 1 5 -1
33.4, 92.5, 1 3 -3
37.8, 27.1, 1 1 -4
60.6, 24.6, 4 0 4

Structural model:
abc: 9.0550 15.1441 9.7148
angles: 90.00 98.50 90.00
Space group C2/c (No. 15)
One atom of each set of equivalent atoms:
Pm 0.2470 0.0516 0.0428
Nd 0.0000 0.0198 0.7500
Dy 0.0668 0.1898 0.4432
Dy 0.1001 0.3933 0.6199
Dy 0.2036 0.2250 0.8153
Y 0.0000 0.4075 0.2500

The following is a theoretical PXRD pattern of Li2SnP2O7. It was derived from a DFT-relaxed cell (GGA-PBE, Alexandria), using Cu Ka.
Neutral-atom scattering factors, no anomalous dispersion.

Most intense lines, 10° ≤ 2θ ≤ 90°, in order of rising 2θ:
two_theta, Rel. int., h k l
14.5, 27.8, 0 1 0
19.1, 47.6, 1 0 -1
19.9, 100.0, 0 1 -2
22.5, 89.1, 1 0 1
24.4, 63.1, 1 0 -2
27.4, 81.2, 1 -2 0
28.8, 85.8, 0 2 -2
29.8, 45.0, 1 0 2
31.6, 35.1, -1 2 1
41.4, 35.9, 0 2 2

Structural model:
abc: 5.3021 7.0650 9.5934
angles: 108.53 93.06 111.62
Space group P-1 (No. 2)
One atom of each set of equivalent atoms:
Li 0.0954 0.3383 0.0140
Li 0.3537 0.6261 0.8112
Sn 0.2022 0.1413 0.3524
P 0.2641 0.6121 0.3404
P 0.4829 0.1468 0.8533
O 0.0109 0.3830 0.7015
O 0.1931 0.1103 0.8829
O 0.2797 0.3933 0.2387
O 0.2875 0.6587 0.0222
O 0.3597 0.6608 0.5056
O 0.4626 0.0634 0.1863
O 0.4955 0.1981 0.6985

Repeat the ninth record exactly.
The following is a theoretical PXRD pattern of Er3CuS6. It was derived from a DFT-relaxed cell (GGA-PBE, Alexandria), using Cu Ka.
Neutral-atom scattering factors, no anomalous dispersion.

Most intense lines, 10° ≤ 2θ ≤ 90°, in order of rising 2θ:
two_theta, Rel. int., h k l
17.4, 27.6, 1 1 1
25.8, 100.0, 2 2 1
26.1, 21.0, 3 1 0
26.7, 58.1, 1 3 1
29.4, 21.2, 1 1 2
35.9, 24.0, 3 3 1
38.0, 45.1, 3 1 2
39.9, 24.6, 0 4 2
44.3, 33.3, 3 5 0
50.1, 21.9, 5 3 1

Structural model:
abc: 10.6563 12.4873 6.5544
angles: 90.00 90.00 90.00
Space group Cmc2_1 (No. 36)
One atom of each set of equivalent atoms:
Er 0.0000 0.1037 0.0000
Er 0.1824 0.4007 0.9110
Cu 0.0000 0.2966 0.3678
S 0.0000 0.2851 0.7158
S 0.0000 0.4619 0.2111
S 0.1607 0.0318 0.7043
S 0.1695 0.2371 0.1954